Record 1
This entry pairs a crystal structure of V5B2Rh12 with its theoretical powder XRD pattern. Radiation: Cu Kα (λ = 1.5418 Å). Structure: the PBE geometry in Alexandria.
Intensities are scaled so that the largest is 100.

Structural model:
abc: 14.6928 5.4440 6.9782
angles: 90.00 110.83 90.00
Space group C2/m (No. 12)
Inequivalent atoms, fractional coordinates:
1 V 0.0000 0.0000 0.0000 (multiplicity 2)
2 V 0.2349 0.0000 0.4771 (multiplicity 4)
3 V 0.2414 0.0000 0.9911 (multiplicity 4)
4 B 0.0000 0.3287 0.5000 (multiplicity 4)
5 Rh 0.0116 0.5000 0.7970 (multiplicity 4)
6 Rh 0.0378 0.0000 0.3536 (multiplicity 4)
7 Rh 0.1480 0.2628 0.1655 (multiplicity 8)
8 Rh 0.1533 0.2554 0.6822 (multiplicity 8)

Principal peaks in the range 2θ = 5–70°, in order of rising 2θ:
- 25.74°, d = 3.461 Å, I = 13
- 27.35°, d = 3.261 Å, I = 20
- 34.38°, d = 2.608 Å, I = 29
- 35.48°, d = 2.530 Å, I = 25
- 39.23°, d = 2.296 Å, I = 66
- 39.37°, d = 2.289 Å, I = 24
- 42.24°, d = 2.140 Å, I = 100
- 42.38°, d = 2.133 Å, I = 89
- 43.31°, d = 2.089 Å, I = 19
- 44.61°, d = 2.031 Å, I = 27
- 52.91°, d = 1.731 Å, I = 27
- 69.00°, d = 1.361 Å, I = 15


Record 2
This entry pairs a crystal structure of YB6Rh12 with its theoretical powder XRD pattern. Radiation: Cu Kα (λ = 1.5418 Å). Structure: the PBE geometry in Alexandria.
Intensities are scaled so that the largest is 100.

Structural model:
abc: 10.2454 10.2454 8.0122
angles: 90.00 90.00 120.00
Space group R-3m (No. 166, hexagonal axes)
Inequivalent atoms, fractional coordinates:
1 Y 0.0000 0.0000 0.0000 (multiplicity 3)
2 B 0.0421 0.5211 0.2865 (multiplicity 18)
3 Rh 0.0000 0.3668 0.5000 (multiplicity 18)
4 Rh 0.0878 0.1756 0.3609 (multiplicity 18)

Principal peaks in the range 2θ = 5–70°, in order of rising 2θ:
- 14.90°, d = 5.947 Å, I = 25
- 30.06°, d = 2.973 Å, I = 29
- 30.22°, d = 2.958 Å, I = 25
- 35.03°, d = 2.561 Å, I = 12
- 38.00°, d = 2.368 Å, I = 54
- 38.26°, d = 2.352 Å, I = 100
- 43.14°, d = 2.097 Å, I = 17
- 45.78°, d = 1.982 Å, I = 56
- 46.81°, d = 1.941 Å, I = 19
- 46.93°, d = 1.936 Å, I = 11
- 53.68°, d = 1.708 Å, I = 22
- 56.74°, d = 1.623 Å, I = 22